Starting from a crystal structure in the Materials Project, relaxed with PBE, the powder diffractogram of ZrCrCo was calculated for Cu Kα (weighted mean of Kα1 and Kα2).
Lines closer than 0.1° are merged.

Crystal structure
```
ZrCrCo
1.0
8.3122 0.0000 0.0000
0.0000 2.5000 4.1835
0.0000 -2.5000 4.1835
Zr Cr Co
4 4 4
Direct
0.1836 0.0000 0.0000
0.3106 0.6659 0.6659
0.6894 0.6659 0.6659
0.8164 0.0000 0.0000
0.0000 0.4891 0.4891
0.5000 0.1600 0.1600
0.5000 0.1643 0.6683
0.5000 0.6683 0.1643
0.0000 0.4915 0.9847
0.0000 0.9847 0.4915
0.2434 0.3361 0.3361
0.7566 0.3361 0.3361
```

The 10 most intense peaks (2θ from 10° to 90°), most intense first:
- 2θ 43.04, rel. 100.0
- 2θ 43.56, rel. 93.9
- 2θ 38.68, rel. 89.3
- 2θ 42.17, rel. 68.0
- 2θ 36.90, rel. 50.5
- 2θ 38.99, rel. 48.2
- 2θ 71.83, rel. 31.1
- 2θ 44.67, rel. 29.0
- 2θ 35.92, rel. 24.6
- 2θ 69.48, rel. 22.2

---

Starting from a crystal structure in the Materials Project, relaxed with PBE, the powder diffractogram of Ba4As3 was calculated for Cu Kα (weighted mean of Kα1 and Kα2).
Lines closer than 0.1° are merged.

Crystal structure
```
Ba4As3
1.0
-5.0328 5.0328 5.0328
5.0328 -5.0328 5.0328
5.0328 5.0328 -5.0328
Ba As
8 6
Direct
0.0000 0.1360 0.5000
0.0000 0.6360 0.5000
0.1360 0.5000 0.0000
0.3640 0.3640 0.3640
0.5000 0.0000 0.1360
0.5000 0.0000 0.6360
0.6360 0.5000 0.0000
0.8640 0.8640 0.8640
0.1250 0.8750 0.2500
0.2500 0.1250 0.8750
0.3750 0.6250 0.7500
0.6250 0.7500 0.3750
0.7500 0.3750 0.6250
0.8750 0.2500 0.1250
```

The 10 most intense peaks (2θ from 10° to 90°), most intense first:
- 2θ 28.03, rel. 100.0
- 2θ 33.31, rel. 63.5
- 2θ 45.98, rel. 30.9
- 2θ 56.35, rel. 23.9
- 2θ 44.07, rel. 18.9
- 2θ 68.50, rel. 15.4
- 2θ 59.52, rel. 15.1
- 2θ 57.95, rel. 12.5
- 2θ 82.42, rel. 12.1
- 2θ 25.02, rel. 10.7

---

Starting from a crystal structure in the Materials Project, relaxed with PBE, the powder diffractogram of SrInPt was calculated for Cu Kα (weighted mean of Kα1 and Kα2).
Lines closer than 0.1° are merged.

Crystal structure
```
SrInPt
1.0
7.6615 0.0000 0.0000
0.0000 4.5685 0.0000
0.0000 0.0000 8.6255
Sr In Pt
4 4 4
Direct
0.0303 0.2500 0.1786
0.4697 0.7500 0.6786
0.5303 0.2500 0.3214
0.9697 0.7500 0.8214
0.1474 0.2500 0.5647
0.3526 0.7500 0.0647
0.6474 0.2500 0.9353
0.8526 0.7500 0.4353
0.2223 0.7500 0.3795
0.2777 0.2500 0.8795
0.7223 0.7500 0.1205
0.7777 0.2500 0.6205
```

The 10 most intense peaks (2θ from 10° to 90°), most intense first:
- 2θ 32.21, rel. 100.0
- 2θ 36.94, rel. 59.5
- 2θ 30.81, rel. 58.9
- 2θ 39.45, rel. 51.3
- 2θ 38.83, rel. 39.5
- 2θ 41.87, rel. 34.0
- 2θ 36.70, rel. 32.5
- 2θ 41.08, rel. 31.7
- 2θ 22.02, rel. 27.7
- 2θ 23.67, rel. 27.5

---

Starting from a crystal structure in the Materials Project, relaxed with PBE, the powder diffractogram of Ce3Ge13Ru4 was calculated for Cu Kα (weighted mean of Kα1 and Kα2).
Lines closer than 0.1° are merged.

Crystal structure
```
Ce3Ge13Ru4
1.0
9.0886 0.0000 0.0000
0.0000 9.0886 0.0000
0.0000 0.0000 9.0886
Ce Ge Ru
6 26 8
Direct
0.0000 0.2500 0.5000
0.0000 0.7500 0.5000
0.2500 0.5000 0.0000
0.5000 0.0000 0.2500
0.5000 0.0000 0.7500
0.7500 0.5000 0.0000
0.0000 0.0000 0.0000
0.0000 0.3065 0.1478
0.0000 0.3065 0.8522
0.0000 0.6935 0.1478
0.0000 0.6935 0.8522
0.1478 0.0000 0.3065
0.1478 0.0000 0.6935
0.1935 0.5000 0.3522
0.1935 0.5000 0.6478
0.3065 0.1478 0.0000
0.3065 0.8522 0.0000
0.3522 0.1935 0.5000
0.3522 0.8065 0.5000
0.5000 0.3522 0.1935
0.5000 0.3522 0.8065
0.5000 0.5000 0.5000
0.5000 0.6478 0.1935
0.5000 0.6478 0.8065
0.6478 0.1935 0.5000
0.6478 0.8065 0.5000
0.6935 0.1478 0.0000
0.6935 0.8522 0.0000
0.8065 0.5000 0.3522
0.8065 0.5000 0.6478
0.8522 0.0000 0.3065
0.8522 0.0000 0.6935
0.2500 0.2500 0.2500
0.2500 0.2500 0.7500
0.2500 0.7500 0.2500
0.2500 0.7500 0.7500
0.7500 0.2500 0.2500
0.7500 0.2500 0.7500
0.7500 0.7500 0.2500
0.7500 0.7500 0.7500
```

The 10 most intense peaks (2θ from 10° to 90°), most intense first:
- 2θ 35.62, rel. 100.0
- 2θ 37.01, rel. 39.3
- 2θ 39.67, rel. 31.3
- 2θ 49.11, rel. 23.5
- 2θ 68.48, rel. 20.2
- 2θ 34.18, rel. 19.8
- 2θ 63.05, rel. 14.4
- 2θ 59.29, rel. 12.9
- 2θ 44.59, rel. 12.1
- 2θ 40.94, rel. 11.9

---

Starting from a crystal structure in the Materials Project, relaxed with PBE, the powder diffractogram of Nb4CrSe8 was calculated for Cu Kα (weighted mean of Kα1 and Kα2).
Lines closer than 0.1° are merged.

Crystal structure
```
Nb4CrSe8
1.0
6.9791 0.0000 0.0000
-3.4895 6.0441 0.0000
0.0000 0.0000 13.8357
Nb Cr Se
8 2 16
Direct
0.0000 0.0000 0.0000
0.0000 0.0000 0.5000
0.0000 0.5000 0.0000
0.0000 0.5000 0.5000
0.5000 0.0000 0.0000
0.5000 0.0000 0.5000
0.5000 0.5000 0.0000
0.5000 0.5000 0.5000
0.0000 0.0000 0.2500
0.0000 0.0000 0.7500
0.1674 0.3348 0.1232
0.1674 0.3348 0.3768
0.1674 0.8326 0.1232
0.1674 0.8326 0.3768
0.3333 0.6667 0.6209
0.3333 0.6667 0.8791
0.3348 0.1674 0.6232
0.3348 0.1674 0.8768
0.6652 0.8326 0.1232
0.6652 0.8326 0.3768
0.6667 0.3333 0.1209
0.6667 0.3333 0.3791
0.8326 0.1674 0.6232
0.8326 0.1674 0.8768
0.8326 0.6652 0.6232
0.8326 0.6652 0.8768
```

The 10 most intense peaks (2θ from 10° to 90°), most intense first:
- 2θ 39.60, rel. 100.0
- 2θ 12.80, rel. 58.8
- 2θ 30.27, rel. 54.6
- 2θ 52.44, rel. 43.9
- 2θ 35.51, rel. 39.7
- 2θ 32.33, rel. 31.5
- 2θ 77.75, rel. 26.7
- 2θ 67.67, rel. 20.7
- 2θ 44.39, rel. 16.4
- 2θ 52.94, rel. 14.1